This entry pairs a crystal structure of NaCeZrNbO6 with its simulated powder XRD pattern. Radiation: Cu Kα X-rays. Structure: the PBE geometry in the Materials Project.
Intensities are scaled so that the largest is 100.

Most intense lines, 10° ≤ 2θ ≤ 80°, in order of rising 2θ:
2theta	I_rel
18.71	29
21.64	5
30.79	100
36.27	17
44.10	36
48.29	7
54.74	40
58.37	6
64.13	21
67.45	6
72.82	17
75.96	2

Structural model:
```
NaCeZrNbO6
1.0
0.0000 4.1073 4.1073
4.1073 0.0000 4.1073
4.1073 4.1073 0.0000
Na Ce Zr Nb O
1 1 1 1 6
Direct
0.0000 0.0000 0.0000
0.5000 0.5000 0.5000
0.7500 0.7500 0.7500
0.2500 0.2500 0.2500
0.0045 0.0045 0.4955
0.0045 0.4955 0.0045
0.0045 0.4955 0.4955
0.4955 0.0045 0.0045
0.4955 0.0045 0.4955
0.4955 0.4955 0.0045
```